# VF5
Theoretical powder diffractogram, Cu Kα X-rays. Input: the PBE+U geometry in Alexandria.

Structure:
Unit cell a=5.8813 b=5.8813 c=11.4175 alpha=90.00 beta=90.00 gamma=82.37
Sites, in units of the cell vectors:
V  0.1670  0.8330  0.9157
V  0.3330  0.6670  0.4157
V  0.6670  0.3330  0.5843
V  0.8330  0.1670  0.0843
F  0.0126  0.9874  0.8015
F  0.0676  0.6228  0.3595
F  0.1228  0.5676  0.8595
F  0.1349  0.1349  0.0000
F  0.2146  0.7854  0.5486
F  0.2854  0.7146  0.0486
F  0.3651  0.3651  0.5000
F  0.3772  0.9324  0.3595
F  0.4324  0.8772  0.8595
F  0.4874  0.5126  0.3015
F  0.5126  0.4874  0.6985
F  0.5676  0.1228  0.1405
F  0.6228  0.0676  0.6405
F  0.6349  0.6349  0.5000
F  0.7146  0.2854  0.9514
F  0.7854  0.2146  0.4514
F  0.8651  0.8651  0.0000
F  0.8772  0.4324  0.1405
F  0.9324  0.3772  0.6405
F  0.9874  0.0126  0.1985

Largest 8 diffraction maxima, low angle first, 2θ = 5–70°:
15.52°, intensity 32
17.08°, intensity 89
20.06°, intensity 67
21.79°, intensity 100
22.96°, intensity 15
34.55°, intensity 27
38.92°, intensity 21
39.21°, intensity 17